Simulated XRD peak list of Na2CrHgSe for copper Kα, from a structure optimized by DFT (GGA-PBE).

Structure:
a = 5.8005 Å, b = 5.8005 Å, c = 5.1914 Å
α = 90.00°, β = 90.00°, γ = 90.00°
Element x y z (fractional)
Na 0.0000 0.5000 0.0000
Na 0.5000 0.0000 0.0000
Cr 0.0000 0.0000 0.5000
Hg 0.5000 0.5000 0.0000
Se 0.5000 0.5000 0.5000

Top 12 peaks for 2θ from 15° to 90°, in order of rising 2θ:
d [Å]	two_theta	I_rel
5.801	15.3	100.0
4.102	21.7	74.2
3.868	23.0	47.6
2.900	30.8	56.3
2.595	34.6	49.5
2.369	38.0	22.5
2.320	38.8	25.3
2.193	41.2	28.3
1.934	47.0	40.8
1.835	49.7	37.8
1.609	57.3	25.9
1.160	83.3	21.9


Simulated XRD peak list of Cs4U3Te10 for copper Kα, from a structure optimized by DFT (GGA-PBE).

Structure:
a = 21.8600 Å, b = 21.8600 Å, c = 21.8600 Å
α = 164.43°, β = 164.43°, γ = 22.09°
Element x y z (fractional)
Cs 0.0686 0.0686 0.0000
Cs 0.2026 0.2026 0.0000
Cs 0.7974 0.7974 0.0000
Cs 0.9314 0.9314 0.0000
U 0.3612 0.3612 0.0000
U 0.5000 0.5000 0.0000
U 0.6388 0.6388 0.0000
Te 0.0000 0.5000 0.5000
Te 0.1363 0.6363 0.5000
Te 0.2948 0.2948 0.0000
Te 0.3637 0.8637 0.5000
Te 0.4313 0.4313 0.0000
Te 0.5000 0.0000 0.5000
Te 0.5687 0.5687 0.0000
Te 0.6363 0.1363 0.5000
Te 0.7052 0.7052 0.0000
Te 0.8637 0.3637 0.5000

Top 12 peaks for 2θ from 15° to 90°, in order of rising 2θ:
d [Å]	two_theta	I_rel
5.866	15.1	42.3
4.259	20.9	37.9
4.187	21.2	35.9
3.301	27.0	38.4
3.065	29.1	41.2
2.961	30.2	100.0
2.431	37.0	18.5
2.129	42.4	59.3
2.094	43.2	37.5
1.768	51.7	20.5
1.729	53.0	31.1
1.216	78.7	19.8


Simulated XRD peak list of AlAg2C2O6 for copper Kα, from a structure optimized by DFT (GGA-PBE).

Structure:
a = 4.7048 Å, b = 4.7048 Å, c = 7.4361 Å
α = 106.80°, β = 106.80°, γ = 63.12°
Element x y z (fractional)
Al 0.0000 0.0000 0.0000
Ag 0.1910 0.1910 0.5866
Ag 0.8090 0.8090 0.4134
C 0.4114 0.4114 0.1527
C 0.5886 0.5886 0.8473
O 0.2447 0.2447 0.1038
O 0.2720 0.7244 0.8148
O 0.2756 0.7280 0.1852
O 0.7244 0.2720 0.8148
O 0.7280 0.2756 0.1852
O 0.7553 0.7553 0.8962

Top 12 peaks for 2θ from 15° to 90°, in order of rising 2θ:
d [Å]	two_theta	I_rel
4.124	21.6	15.2
3.881	22.9	37.5
2.951	30.3	100.0
2.930	30.5	36.7
2.462	36.5	18.5
2.452	36.6	14.0
2.349	38.3	32.2
2.323	38.8	12.3
2.239	40.3	16.3
2.215	40.7	30.4
2.062	43.9	17.9
1.885	48.3	30.4


Simulated XRD peak list of SrDyMoN3 for copper Kα, from a structure optimized by DFT (GGA-PBE).

Structure:
a = 7.5907 Å, b = 3.5914 Å, c = 8.1431 Å
α = 90.00°, β = 100.72°, γ = 90.00°
Element x y z (fractional)
Sr 0.1818 0.2500 0.1722
Sr 0.8182 0.7500 0.8278
Dy 0.3778 0.7500 0.8487
Dy 0.6222 0.2500 0.1513
Mo 0.0871 0.2500 0.6066
Mo 0.9129 0.7500 0.3934
N 0.1083 0.2500 0.8370
N 0.1714 0.7500 0.5345
N 0.4243 0.7500 0.1293
N 0.5757 0.2500 0.8707
N 0.8286 0.2500 0.4655
N 0.8917 0.7500 0.1630

Top 12 peaks for 2θ from 15° to 90°, in order of rising 2θ:
d [Å]	two_theta	I_rel
3.277	27.2	25.3
3.023	29.6	58.5
2.919	30.6	31.8
2.671	33.5	100.0
2.587	34.7	88.2
2.560	35.1	22.1
2.507	35.8	29.7
2.057	44.0	17.4
1.796	50.8	19.9
1.748	52.4	19.2
1.691	54.2	25.3
1.627	56.6	17.9


Simulated XRD peak list of V2FeRu2Rh for copper Kα, from a structure optimized by DFT (GGA-PBE).

Structure:
a = 7.2750 Å, b = 7.2750 Å, c = 7.2750 Å
α = 138.59°, β = 59.71°, γ = 138.98°
Element x y z (fractional)
V 0.1356 0.1946 0.3302
V 0.3644 0.6946 0.0591
V 0.6356 0.3054 0.9409
V 0.8644 0.8054 0.6698
Fe 0.2500 0.2500 0.0000
Fe 0.7500 0.7500 0.0000
Ru 0.1757 0.6976 0.8733
Ru 0.3243 0.1976 0.5218
Ru 0.6757 0.8024 0.4782
Ru 0.8243 0.3024 0.1267
Rh 0.2500 0.7500 0.5000
Rh 0.7500 0.2500 0.5000

Top 12 peaks for 2θ from 15° to 90°, in order of rising 2θ:
d [Å]	two_theta	I_rel
4.764	18.6	13.5
3.141	28.4	13.3
2.381	37.8	100.0
2.364	38.1	70.0
2.259	39.9	35.0
2.103	43.0	43.0
1.994	45.5	37.3
1.983	45.8	46.1
1.819	50.2	15.4
1.811	50.4	54.7
1.372	68.4	31.3
1.192	80.6	12.9


Simulated XRD peak list of Y6Si2AsS3 for copper Kα, from a structure optimized by DFT (GGA-PBE).

Structure:
a = 9.0268 Å, b = 9.0268 Å, c = 8.0850 Å
α = 102.75°, β = 102.75°, γ = 25.86°
Element x y z (fractional)
Y 0.0026 0.0026 0.2516
Y 0.3327 0.3327 0.4182
Y 0.3327 0.3327 0.9116
Y 0.6673 0.6673 0.0884
Y 0.6673 0.6673 0.5818
Y 0.9974 0.9974 0.7484
Si 0.1668 0.1668 0.3336
Si 0.8332 0.8332 0.6664
As 0.5000 0.5000 0.0000
S 0.1652 0.1652 0.8344
S 0.5000 0.5000 0.5000
S 0.8348 0.8348 0.1656

Top 12 peaks for 2θ from 15° to 90°, in order of rising 2θ:
d [Å]	two_theta	I_rel
3.299	27.0	30.3
2.857	31.3	100.0
2.022	44.8	47.2
2.018	44.9	23.5
1.724	53.1	10.5
1.653	55.6	6.1
1.649	55.8	18.1
1.429	65.3	11.1
1.278	74.2	20.2
1.276	74.3	10.0
1.166	82.8	11.4
1.165	82.9	5.6